[1]
This entry pairs a crystal structure of Sc3Cd2Pd8 with its calculated powder diffraction line list. Radiation: Cu Kα (λ = 1.5418 Å). Structure: DFT lattice parameters and positions (GGA-PBE).

Peak list (10 most intense, 2θ from 15° to 90°, most intense first)
39.53 deg, I 100; 39.11 deg, I 82; 34.90 deg, I 49; 44.86 deg, I 48; 43.94 deg, I 46; 63.81 deg, I 37; 42.09 deg, I 35; 70.69 deg, I 34; 41.01 deg, I 30; 33.63 deg, I 28

Structure:
```
data_Sc3Cd2Pd8
_chemical_formula_sum 'Sc3 Cd2 Pd8'
_space_group_name_H-M_alt 'P 1'
_space_group_IT_number 1
_cell_length_a 10.219
_cell_length_b 10.219
_cell_length_c 10.219
_cell_angle_alpha 30.24
_cell_angle_beta 30.24
_cell_angle_gamma 30.24
loop_
_space_group_symop_operation_xyz
'x,y,z'
loop_
_atom_site_label
_atom_site_type_symbol
_atom_site_fract_x
_atom_site_fract_y
_atom_site_fract_z
Sc1 Sc 0.000 0.000 0.000
Sc2 Sc 0.188 0.188 0.188
Sc3 Sc 0.812 0.812 0.812
Cd1 Cd 0.366 0.366 0.366
Cd2 Cd 0.634 0.634 0.634
Pd1 Pd 0.223 0.723 0.723
Pd2 Pd 0.277 0.277 0.277
Pd3 Pd 0.277 0.277 0.777
Pd4 Pd 0.277 0.777 0.277
Pd5 Pd 0.723 0.223 0.723
Pd6 Pd 0.723 0.723 0.223
Pd7 Pd 0.723 0.723 0.723
Pd8 Pd 0.777 0.277 0.277
```

[2]
This entry pairs a crystal structure of Sc8CdPd2 with its calculated powder diffraction line list. Radiation: Cu Kα (λ = 1.5418 Å). Structure: DFT lattice parameters and positions (GGA-PBE).

Peak list (10 most intense, 2θ from 15° to 90°, most intense first)
39.72 deg, I 100; 35.00 deg, I 98; 36.22 deg, I 87; 36.54 deg, I 79; 23.10 deg, I 78; 33.45 deg, I 75; 22.97 deg, I 71; 40.76 deg, I 60; 23.64 deg, I 47; 48.42 deg, I 44

Structure:
```
data_Sc8CdPd2
_chemical_formula_sum 'Sc8 Cd1 Pd2'
_space_group_name_H-M_alt 'P 1'
_space_group_IT_number 1
_cell_length_a 7.623
_cell_length_b 7.623
_cell_length_c 5.018
_cell_angle_alpha 98.97
_cell_angle_beta 98.97
_cell_angle_gamma 115.82
loop_
_space_group_symop_operation_xyz
'x,y,z'
loop_
_atom_site_label
_atom_site_type_symbol
_atom_site_fract_x
_atom_site_fract_y
_atom_site_fract_z
Sc1 Sc 0.085 0.326 0.588
Sc2 Sc 0.236 0.764 0.000
Sc3 Sc 0.326 0.085 0.588
Sc4 Sc 0.392 0.392 0.194
Sc5 Sc 0.608 0.608 0.806
Sc6 Sc 0.674 0.915 0.412
Sc7 Sc 0.764 0.236 0.000
Sc8 Sc 0.915 0.674 0.412
Cd1 Cd 0.000 0.000 0.000
Pd1 Pd 0.305 0.695 0.500
Pd2 Pd 0.695 0.305 0.500
```

[3]
This entry pairs a crystal structure of Sc5CdPd4 with its calculated powder diffraction line list. Radiation: Cu Kα (λ = 1.5418 Å). Structure: DFT lattice parameters and positions (GGA-PBE).

Peak list (10 most intense, 2θ from 15° to 90°, most intense first)
37.58 deg, I 100; 38.54 deg, I 50; 69.10 deg, I 31; 26.99 deg, I 23; 55.64 deg, I 16; 67.19 deg, I 14; 25.66 deg, I 13; 46.88 deg, I 11; 80.22 deg, I 8; 52.74 deg, I 7

Structure:
```
data_Sc5CdPd4
_chemical_formula_sum 'Sc5 Cd1 Pd4'
_space_group_name_H-M_alt 'P 1'
_space_group_IT_number 1
_cell_length_a 3.304
_cell_length_b 3.304
_cell_length_c 17.358
_cell_angle_alpha 90.00
_cell_angle_beta 90.00
_cell_angle_gamma 90.00
loop_
_space_group_symop_operation_xyz
'x,y,z'
loop_
_atom_site_label
_atom_site_type_symbol
_atom_site_fract_x
_atom_site_fract_y
_atom_site_fract_z
Sc1 Sc 0.000 0.000 0.000
Sc2 Sc 0.000 0.000 0.192
Sc3 Sc 0.000 0.000 0.383
Sc4 Sc 0.000 0.000 0.617
Sc5 Sc 0.000 0.000 0.808
Cd1 Cd 0.500 0.500 0.500
Pd1 Pd 0.500 0.500 0.097
Pd2 Pd 0.500 0.500 0.290
Pd3 Pd 0.500 0.500 0.710
Pd4 Pd 0.500 0.500 0.903
```